This entry pairs a crystal structure of CeMg2 with its computed powder diffractogram. Radiation: copper Kα. Structure: DFT lattice parameters and positions (PBE).

Crystal structure
Cell lengths 6.0989, 6.0989, 6.0989 Å; angles 60.00, 60.00, 60.00 degrees
Fractional coordinates of all 6 atoms:
Ce  0.1250  0.1250  0.1250
Ce  0.8750  0.8750  0.8750
Mg  0.0000  0.5000  0.5000
Mg  0.5000  0.0000  0.5000
Mg  0.5000  0.5000  0.0000
Mg  0.5000  0.5000  0.5000

Principal peaks in the range 10 to 90 degrees two-theta, by angle:
2theta  I (rel.)
17.81  57
29.29  97
34.49  100
45.86  16
51.94  39
55.35  34
60.74  22
68.85  17
83.96  20
86.71  21